The following is a computed powder XRD pattern of DyEr6Te2Pd2. It was derived from a PBE-relaxed structure, using Cu Ka.
Kinematic intensities with the Lorentz-polarization factor, no thermal factor.

Structural model:
```
data_DyEr6Te2Pd2
_chemical_formula_sum 'Dy2 Er12 Te4 Pd4'
_space_group_name_H-M_alt 'I m m 2'
_space_group_IT_number 44
_cell_length_a 3.927
_cell_length_b 15.640
_cell_length_c 9.583
_cell_angle_alpha 90.00
_cell_angle_beta 90.00
_cell_angle_gamma 90.00
loop_
_space_group_symop_operation_xyz
'x,y,z'
'-x,-y,z'
'-x,y,z'
'x,-y,z'
'x+1/2,y+1/2,z+1/2'
'-x+1/2,-y+1/2,z+1/2'
'-x+1/2,y+1/2,z+1/2'
'x+1/2,-y+1/2,z+1/2'
loop_
_atom_site_label
_atom_site_fract_x
_atom_site_fract_y
_atom_site_fract_z
Dy1 0.000 0.000 0.000
Er1 0.000 0.129 0.417
Er2 0.000 0.318 0.624
Er3 0.000 0.355 0.264
Te1 0.000 0.000 0.663
Te2 0.000 0.500 0.765
Pd1 0.000 0.238 0.929
```

Principal peaks in the range 10 to 90 degrees two-theta, sorted by position:
28.5 deg, d 3.134, intensity 33, (1 3 0); 30.0 deg, d 2.979, intensity 68, (1 1 2); 32.9 deg, d 2.724, intensity 61, (0 3 3); 33.7 deg, d 2.662, intensity 100, (1 4 1); 34.2 deg, d 2.624, intensity 48, (1 3 2); 36.3 deg, d 2.478, intensity 21, (1 0 3); 38.1 deg, d 2.362, intensity 21, (1 2 3); 46.2 deg, d 1.963, intensity 28, (2 0 0); 50.7 deg, d 1.799, intensity 19, (1 7 2); 57.9 deg, d 1.593, intensity 24, (2 3 3)